For Cs2Lu4Cu4Se9, a GGA-PBE-relaxed structure gives the calculated PXRD pattern in this record (Cu Kα X-rays).
Neutral-atom scattering factors, no anomalous dispersion.

Cell and atoms:
abc: 7.563 7.563 16.538
angles: 108.10 108.10 31.40
Fractional coordinates of all 19 atoms:
1 Cs 0.031 0.031 0.272
2 Cs 0.969 0.969 0.728
3 Lu 0.231 0.231 0.103
4 Lu 0.346 0.346 0.445
5 Lu 0.654 0.654 0.555
6 Lu 0.769 0.769 0.897
7 Cu 0.250 0.250 0.731
8 Cu 0.430 0.430 0.036
9 Cu 0.570 0.570 0.964
10 Cu 0.750 0.750 0.269
11 Se 0.000 0.000 0.500
12 Se 0.144 0.144 0.926
13 Se 0.291 0.291 0.596
14 Se 0.342 0.342 0.276
15 Se 0.391 0.391 0.876
16 Se 0.609 0.609 0.124
17 Se 0.658 0.658 0.724
18 Se 0.709 0.709 0.404
19 Se 0.856 0.856 0.074

Top 8 peaks for 2θ = 15–90°, sorted by position:
| 2θ/deg | I_rel |
| --- | --- |
| 28.5 | 100.0 |
| 29.0 | 93.8 |
| 29.2 | 62.3 |
| 30.6 | 45.1 |
| 31.0 | 86.1 |
| 44.3 | 83.0 |
| 44.8 | 52.5 |
| 50.1 | 47.4 |